Starting from a DFT-relaxed cell (PBE, Alexandria), the powder diffractogram of Ba3SCl3 was computed for Cu Kα (λ = 1.5418 Å).

Most intense lines, 10 to 90 degrees two-theta, in order of rising 2θ:
d [Å], intensity, (hkl)
6.334, 30, 1 0 0
4.479, 29, 1 1 0
3.657, 40, 1 1 1
3.167, 100, 2 0 0
2.833, 17, 2 1 0
2.239, 73, 2 2 0
1.910, 22, 3 1 1
1.828, 26, 2 2 2
1.416, 33, 4 2 0
1.293, 24, 4 2 2

Crystal structure
```
data_Ba3SCl3
_cell_length_a 6.3340
_cell_length_b 6.3340
_cell_length_c 6.3340
_cell_angle_alpha 90.00
_cell_angle_beta 90.00
_cell_angle_gamma 90.00
_symmetry_space_group_name_H-M 'P m -3 m'
_symmetry_Int_Tables_number 221
_symmetry_space_group_name_Hall '-P 4 2 3'
loop_
_atom_site_label
_atom_site_fract_x
_atom_site_fract_y
_atom_site_fract_z
Ba1 0.0000 0.0000 0.5000
S1 0.0000 0.0000 0.0000
Cl1 0.0000 0.5000 0.5000
```

Starting from a DFT-relaxed cell (PBE, Alexandria), the powder diffractogram of Sm2Er3Al was computed for Cu Kα (λ = 1.5418 Å).

Most intense lines, 10 to 90 degrees two-theta, in order of rising 2θ:
d [Å], intensity, (hkl)
2.809, 100, 1 3 1
2.482, 17, 0 6 0
2.422, 17, 0 0 2
2.397, 16, 2 0 0
1.734, 12, 0 6 2
1.704, 12, 2 0 2
1.489, 14, 1 9 1
1.462, 14, 1 3 3
1.451, 13, 3 3 1
1.405, 12, 2 6 2

Crystal structure
```
data_Sm2Er3Al
_cell_length_a 4.7932
_cell_length_b 14.8939
_cell_length_c 4.8442
_cell_angle_alpha 90.00
_cell_angle_beta 90.00
_cell_angle_gamma 90.00
_symmetry_space_group_name_H-M 'C m m m'
_symmetry_Int_Tables_number 65
_symmetry_space_group_name_Hall '-C 2 2'
loop_
_atom_site_label
_atom_site_fract_x
_atom_site_fract_y
_atom_site_fract_z
Sm1 0.0000 0.1591 0.0000
Er1 0.0000 0.0000 0.5000
Er2 0.0000 0.3373 0.5000
Al1 0.0000 0.5000 0.0000
```

Starting from a DFT-relaxed cell (PBE, Alexandria), the powder diffractogram of Dy4YTm2 was computed for Cu Kα (λ = 1.5418 Å).

Most intense lines, 10 to 90 degrees two-theta, in order of rising 2θ:
d [Å], intensity, (hkl)
3.127, 24, -1 1 2
2.801, 24, 0 2 -2
2.730, 100, 2 2 -1
2.086, 16, 1 1 -4
1.805, 20, 3 3 2
1.603, 20, 2 4 -3
1.517, 22, 3 5 0
1.506, 16, -2 3 3
1.156, 13, 5 2 -3
1.107, 6, 0 7 0

Crystal structure
```
data_Dy4YTm2
_cell_length_a 6.2513
_cell_length_b 8.3957
_cell_length_c 9.1386
_cell_angle_alpha 84.20
_cell_angle_beta 89.98
_cell_angle_gamma 68.21
_symmetry_space_group_name_H-M 'P 1'
_symmetry_Int_Tables_number 1
loop_
_symmetry_equiv_pos_as_xyz
'x,y,z'
loop_
_atom_site_label
_atom_site_fract_x
_atom_site_fract_y
_atom_site_fract_z
Dy1 0.0000 0.0000 0.0000
Dy2 0.0437 0.5747 0.0715
Dy3 0.2841 0.4322 0.4254
Dy4 0.3307 0.0012 0.4986
Dy5 0.4264 0.1433 0.1432
Dy6 0.5704 0.8584 0.8568
Dy7 0.7115 0.5745 0.5688
Dy8 0.7590 0.1440 0.6404
Y1 0.1872 0.2888 0.7840
Y2 0.6150 0.4309 0.9296
Tm1 0.1397 0.7178 0.7116
Tm2 0.4745 0.7161 0.2149
Tm3 0.8564 0.2874 0.2857
Tm4 0.9024 0.8595 0.3560
```

Starting from a DFT-relaxed cell (PBE, Alexandria), the powder diffractogram of CeSi4Rh4 was computed for Cu Kα (λ = 1.5418 Å).

Most intense lines, 10 to 90 degrees two-theta, in order of rising 2θ:
d [Å], intensity, (hkl)
6.072, 14, 1 1 0
2.829, 100, 1 2 1
2.715, 54, 3 1 0
2.092, 23, 0 0 2
2.070, 42, 3 2 1
1.864, 14, 1 4 1
1.684, 13, 5 1 0
1.657, 24, 3 1 2
1.589, 24, 4 3 1
1.311, 20, 5 1 2

Crystal structure
```
data_CeSi4Rh4
_cell_length_a 8.5865
_cell_length_b 8.5865
_cell_length_c 4.1834
_cell_angle_alpha 90.00
_cell_angle_beta 90.00
_cell_angle_gamma 90.00
_symmetry_space_group_name_H-M 'I 4/m'
_symmetry_Int_Tables_number 87
_symmetry_space_group_name_Hall '-I 4'
loop_
_atom_site_label
_atom_site_fract_x
_atom_site_fract_y
_atom_site_fract_z
Ce1 0.0000 0.0000 0.0000
Si1 0.1625 0.2781 0.5000
Rh1 0.0938 0.6432 0.5000
```

Starting from a DFT-relaxed cell (PBE, Alexandria), the powder diffractogram of Th2MgSc6 was computed for Cu Kα (λ = 1.5418 Å).

Most intense lines, 10 to 90 degrees two-theta, in order of rising 2θ:
d [Å], intensity, (hkl)
7.887, 100, 1 1 0
4.658, 78, 1 3 0
3.031, 67, 1 0 1
2.844, 34, 1 2 1
2.721, 47, 0 6 0
2.629, 87, 3 3 0
2.587, 44, 2 1 1
2.435, 42, 1 4 1
2.361, 54, 2 3 1
2.026, 30, 1 6 1

Crystal structure
```
data_Th2MgSc6
_cell_length_a 9.0075
_cell_length_b 16.3266
_cell_length_c 3.2221
_cell_angle_alpha 90.00
_cell_angle_beta 90.00
_cell_angle_gamma 90.00
_symmetry_space_group_name_H-M 'I m m 2'
_symmetry_Int_Tables_number 44
loop_
_symmetry_equiv_pos_as_xyz
'x,y,z'
'-x,-y,z'
'-x,y,z'
'x,-y,z'
'x+1/2,y+1/2,z+1/2'
'-x+1/2,-y+1/2,z+1/2'
'-x+1/2,y+1/2,z+1/2'
'x+1/2,-y+1/2,z+1/2'
loop_
_atom_site_label
_atom_site_fract_x
_atom_site_fract_y
_atom_site_fract_z
Th1 0.0000 0.1586 0.0000
Mg1 0.0000 0.5000 0.4991
Sc1 0.1743 0.0000 0.4999
Sc2 0.1768 0.3326 0.9970
```

Starting from a DFT-relaxed cell (PBE, Alexandria), the powder diffractogram of Sr3AlSb3 was computed for Cu Kα (λ = 1.5418 Å).

Most intense lines, 10 to 90 degrees two-theta, in order of rising 2θ:
d [Å], intensity, (hkl)
3.480, 74, 0 2 0
3.436, 100, 6 0 0
3.408, 94, 0 0 4
3.205, 26, 2 2 1
2.445, 67, 6 2 0
2.435, 74, 0 2 4
2.420, 84, 6 0 4
1.987, 53, 6 2 4
1.703, 23, 0 0 8
1.404, 19, 12 2 4

Crystal structure
```
data_Sr3AlSb3
_cell_length_a 20.6146
_cell_length_b 6.9608
_cell_length_c 13.6330
_cell_angle_alpha 90.00
_cell_angle_beta 90.00
_cell_angle_gamma 90.00
_symmetry_space_group_name_H-M 'C m c e'
_symmetry_Int_Tables_number 64
_symmetry_space_group_name_Hall '-C 2ac 2'
loop_
_atom_site_label
_atom_site_fract_x
_atom_site_fract_y
_atom_site_fract_z
Sr1 0.0000 0.1900 0.1460
Sr2 0.1759 0.1973 0.8709
Al1 0.0863 0.0000 0.5000
Sb1 0.0000 0.2121 0.3924
Sb2 0.1606 0.2119 0.6229
```